This entry pairs a crystal structure of Pu2Ga3Au2 with its computed powder diffraction line list. Radiation: Cu Kα (weighted mean of Kα1 and Kα2). Structure: a crystal structure in Alexandria, relaxed with PBE.
Lines closer than 0.1° are merged.

Main lines, by angle (5° ≤ 2θ ≤ 70°):
two_theta	Rel. int.
9.4	21.2
31.0	21.3
32.3	85.4
34.0	100.0
35.1	36.3
38.3	20.8
41.3	49.0
42.2	39.3
54.8	29.8
60.6	32.2

Atomic structure:
abc: 9.6414 9.6414 7.4067
angles: 90.00 90.00 154.35
Fractional positions:
Pu 0.0596 0.9404 0.7500
Pu 0.1530 0.8470 0.2500
Pu 0.8470 0.1530 0.7500
Pu 0.9404 0.0596 0.2500
Ga 0.2294 0.7706 0.7500
Ga 0.4438 0.5562 0.5799
Ga 0.4438 0.5562 0.9201
Ga 0.5562 0.4438 0.0799
Ga 0.5562 0.4438 0.4201
Ga 0.7706 0.2294 0.2500
Au 0.3149 0.6851 0.0540
Au 0.3149 0.6851 0.4460
Au 0.6851 0.3149 0.5540
Au 0.6851 0.3149 0.9460